Calculated powder diffraction line list of Ac2TbHo2 for Cu Kα, from a structure optimized by DFT (PBE).
No peak broadening, texture or thermal motion is included.

a b c (Å): 6.568 7.056 9.583
angles (deg): 71.95 89.99 62.27
Sites, in units of the cell vectors:
Ac 0.032 0.110 0.150
Ac 0.358 0.111 0.651
Ac 0.642 0.889 0.349
Ac 0.968 0.890 0.850
Tb 0.241 0.693 0.552
Tb 0.759 0.307 0.448
Ho 0.178 0.500 0.249
Ho 0.433 0.309 0.949
Ho 0.567 0.691 0.051
Ho 0.822 0.500 0.751

Main lines, by angle (2θ = 15–90°):
2θ 27.2, I = 11.2, (2 1 0); 2θ 27.3, I = 24.0, (1 0 2); 2θ 30.1, I = 36.2, (0 2 2); 2θ 31.1, I = 100.0, (2 2 1); 2θ 31.3, I = 49.1, (1 0 -3); 2θ 40.9, I = 15.6, (1 3 0); 2θ 48.1, I = 20.2, (3 1 2); 2θ 54.0, I = 21.1, (2 4 3); 2θ 57.7, I = 11.6, (3 4 0); 2θ 57.8, I = 17.4, (3 3 4)